Structure and calculated powder diffraction line list of KYAl (the PBE geometry in Alexandria; a wavelength of 1.5418 Å).
Intensities are scaled so that the largest is 100.

Structural model:
a = 4.385 Å, b = 4.192 Å, c = 13.017 Å
α = 90.00°, β = 99.44°, γ = 90.00°
Atoms (fractional coordinates):
K 0.174 0.250 0.355
K 0.826 0.750 0.645
Y 0.445 0.250 0.888
Y 0.555 0.750 0.112
Al 0.031 0.250 0.064
Al 0.969 0.750 0.936

Main lines, by angle (10 to 90 degrees two-theta):
two_theta	d (Å)	I (rel.)	h k l
22.78	3.903	43	1 0 1
25.38	3.510	100	0 1 2
27.79	3.210	50	0 0 4
29.69	3.009	60	1 1 -1
31.31	2.856	70	1 1 1
34.36	2.610	54	1 1 -3
38.47	2.340	41	1 1 3
38.60	2.333	40	1 1 -4
41.17	2.193	28	2 0 -1
43.16	2.096	24	0 2 0